1.
Structure and computed powder diffractogram of LiCoSiO4 (DFT lattice parameters and positions (GGA+U); Cu Kα X-rays).

Crystal structure
```
LiCoSiO4
1.0
4.4855 0.0000 0.0000
0.0000 4.4855 0.0000
0.0000 0.0000 8.5478
Li Co Si O
2 2 2 8
Cartesian
0.0000 0.0000 0.0000
2.2427 2.2427 4.2739
0.0000 2.2427 6.4108
2.2427 0.0000 2.1369
0.0000 0.0000 4.2739
2.2427 2.2427 0.0000
0.8247 3.3885 5.1932
1.0969 0.8247 3.3546
1.1458 1.4181 7.6285
1.4181 3.3397 0.9193
3.0674 1.1458 0.9193
3.3397 3.0674 7.6285
3.3885 3.6608 3.3546
3.6608 1.0969 5.1932
```

Top 6 peaks for 10 to 90 degrees two-theta, by angle:
d [Å]  2θ (°)  Rel. int.
3.972  22.38  100
2.547  35.24  61
2.405  37.39  12
1.953  46.50  15
1.640  56.07  15
1.547  59.78  18



2.
Structure and computed powder diffractogram of LiCoSiO4 (DFT lattice parameters and positions (GGA+U); Cu Kα X-rays).

Crystal structure
```
LiCoSiO4
1.0
10.3487 0.0000 0.0000
0.0000 5.0409 0.0000
0.0000 0.0000 6.6315
Li Co Si O
4 4 4 16
Cartesian
1.6525 0.9364 0.0000
3.5218 3.4569 3.3158
6.8268 1.5840 0.0000
8.6961 4.1045 3.3158
1.6527 0.9330 3.2991
3.5216 3.4535 6.6148
6.8271 1.5875 3.2991
8.6959 4.1080 6.6148
0.9580 3.4577 4.9791
4.2163 0.9372 1.6633
6.1323 4.1037 4.9791
9.3906 1.5833 1.6633
0.6355 1.2095 1.7605
1.2024 1.8309 4.8774
1.6358 4.1385 3.6441
1.7567 4.0175 6.3034
3.4176 1.4970 2.9876
3.5385 1.6180 0.3284
3.9719 4.3513 1.5616
4.5388 3.7300 5.0762
5.8099 1.3109 1.7605
6.3767 0.6896 4.8774
6.8101 3.4230 3.6441
6.9311 3.5439 6.3034
8.5919 1.0235 2.9876
8.7129 0.9025 0.3284
9.1463 3.2101 1.5616
9.7131 3.8314 5.0762
```

Top 6 peaks for 10 to 90 degrees two-theta, by angle:
d [Å]  2θ (°)  Rel. int.
4.079  21.79  100
4.013  22.15  100
3.742  23.78  18
2.792  32.06  34
2.587  34.67  29
2.520  35.62  34



3.
Structure and computed powder diffractogram of Li2Co2Si2O7 (DFT lattice parameters and positions (GGA+U); Cu Kα X-rays).

Crystal structure
```
Li2Co2Si2O7
1.0
5.4666 0.0000 0.0000
0.0000 13.1065 0.0000
-5.4004 0.0000 8.3686
Li Co Si O
8 8 8 28
Cartesian
-1.5937 3.2163 2.7714
-4.2939 3.3370 6.9557
-1.8435 1.7535 5.1240
0.8567 4.7998 0.9397
-0.7905 8.3067 7.4289
1.9097 11.3530 3.2446
4.3601 9.7695 1.4129
1.6599 9.8902 5.5972
-3.4391 6.6572 6.6505
-0.7389 13.0026 2.4662
1.8692 1.1109 0.9597
-0.8310 5.4423 5.1440
0.8972 7.6642 3.2246
-1.8029 11.9956 7.4089
0.8052 0.1039 5.9025
3.5054 6.4493 1.7181
-1.6914 8.0582 4.5007
1.0088 11.6015 0.3164
1.7493 8.7774 0.3720
-0.9509 10.8823 4.5564
1.0172 2.2242 3.8123
-1.6830 4.3291 7.9966
-0.9425 1.5050 8.0522
1.7577 5.0483 3.8679
-4.2837 8.3366 7.2849
-1.5835 11.3231 3.1006
0.4244 2.1481 0.0633
-2.2758 4.4052 4.2476
-1.0671 6.9619 3.4302
-3.7673 12.6979 7.6145
0.6282 8.6341 1.5385
-2.0720 11.0256 5.7228
-0.4624 1.5275 3.5736
-3.1626 5.0257 7.7579
-1.6494 7.2879 5.9590
1.0507 12.3718 1.7747
-0.5312 9.2542 4.5027
2.1690 10.4056 0.3183
-2.1027 2.7009 8.0503
0.5975 3.8523 3.8660
-0.9845 0.7347 6.5940
1.7157 5.8186 2.4096
3.2288 8.0808 0.6107
0.5286 11.5790 4.7950
2.1382 2.0809 2.6458
-0.5619 4.4724 6.8301
3.8335 0.4086 0.7541
1.1333 6.1446 4.9384
2.3420 8.7013 4.1210
-0.3581 10.9584 8.3053
1.6497 1.7833 5.2680
4.3499 4.7699 1.0837
```

Top 6 peaks for 10 to 90 degrees two-theta, by angle:
d [Å]  2θ (°)  Rel. int.
7.053  12.55  64
6.553  13.51  100
3.527  25.25  52
3.232  27.60  60
2.663  33.66  47
2.543  35.30  41



4.
Structure and computed powder diffractogram of LiCoSiO4 (DFT lattice parameters and positions (GGA+U); Cu Kα X-rays).

Crystal structure
```
LiCoSiO4
1.0
5.5463 0.0000 0.0000
0.0000 5.3840 0.0000
-5.2135 0.0000 6.1846
Li Co Si O
2 2 2 8
Cartesian
0.0000 0.9302 0.0000
-2.6068 4.4538 3.0923
-1.6023 1.7726 4.4408
1.0045 3.6115 1.3485
1.0998 0.9765 2.9801
-1.5070 4.4075 6.0724
0.7111 1.7779 1.5924
-1.8957 3.6061 4.6847
-1.7551 0.6404 5.9181
0.8516 4.7436 2.8258
0.2492 1.5478 4.2589
2.8560 3.8362 1.1666
2.7202 1.0879 3.2611
5.3269 4.2961 0.1688
```

Top 6 peaks for 10 to 90 degrees two-theta, by angle:
d [Å]  2θ (°)  Rel. int.
4.241  20.95  59
4.061  21.89  100
4.020  22.11  80
2.769  32.33  37
2.692  33.28  27
2.681  33.42  31



5.
Structure and computed powder diffractogram of LiCoSiO4 (DFT lattice parameters and positions (GGA+U); Cu Kα X-rays).

Crystal structure
```
LiCoSiO4
1.0
4.7644 -2.4121 0.0000
4.7644 2.4121 0.0000
-4.6079 0.0000 7.9150
Li Co Si O
2 2 2 8
Cartesian
2.4605 1.6743 3.9575
4.7644 -1.6743 0.0000
2.3743 0.8624 1.1207
0.0704 -0.8624 5.0782
2.1910 0.7227 6.9817
4.4949 -0.7227 3.0242
-0.6867 0.3029 3.7750
-2.9907 -0.3029 7.7325
3.1322 0.1258 2.6160
3.0906 0.9821 5.6484
0.8282 -0.1258 6.5735
5.4431 0.1279 4.1022
7.7470 -0.1279 0.1447
5.3945 -0.9821 1.6910
```

Top 6 peaks for 10 to 90 degrees two-theta, by angle:
d [Å]  2θ (°)  Rel. int.
4.147  21.43  65
4.117  21.58  34
4.046  21.97  84
3.350  26.61  100
3.321  26.85  44
2.539  35.34  24



6.
Structure and computed powder diffractogram of LiCoSiO4 (DFT lattice parameters and positions (GGA+U); Cu Kα X-rays).

Crystal structure
```
LiCoSiO4
1.0
5.3257 0.0000 0.0000
-2.6629 4.6122 0.0000
0.0000 0.0000 12.1751
Li Co Si O
3 3 3 12
Cartesian
0.0000 0.0000 0.0000
0.0000 0.0000 4.0584
0.0000 0.0000 8.1167
-1.3314 2.3061 10.1459
2.6629 0.0000 6.0875
1.3314 2.3061 2.0292
-1.3314 2.3061 4.0584
2.6629 0.0000 0.0000
1.3314 2.3061 8.1167
-0.0427 1.8131 3.1653
-1.1140 3.6687 4.9515
0.0427 1.8131 9.0098
-1.0713 3.7427 11.2820
1.5915 0.8695 0.8931
1.5488 0.9435 7.2236
1.1140 3.6687 7.2236
1.0713 3.7427 0.8931
3.7342 0.8695 11.2820
2.6201 2.7991 9.0098
3.7769 0.9435 4.9515
2.7056 2.7991 3.1653
```

Top 6 peaks for 10 to 90 degrees two-theta, by angle:
d [Å]  2θ (°)  Rel. int.
4.612  19.24  9
3.676  24.21  100
2.306  39.06  8
2.004  45.24  24
1.676  54.78  12
1.523  60.80  13



7.
Structure and computed powder diffractogram of LiCoSiO4 (DFT lattice parameters and positions (GGA+U); Cu Kα X-rays).

Crystal structure
```
LiCoSiO4
1.0
10.2346 0.0000 0.0000
0.0000 5.1100 0.0000
0.0000 0.0000 13.2452
Li Co Si O
8 8 8 32
Cartesian
0.3937 0.3110 0.0000
2.1857 2.8592 3.2751
2.9316 2.8592 9.8977
4.7236 0.3110 6.6226
5.5109 4.7991 0.0000
7.3030 2.2509 3.2751
8.0489 2.2509 9.8977
9.8409 4.7991 6.6226
0.3439 4.6900 9.9172
2.1878 2.8486 13.1979
2.9295 2.8486 6.5753
4.7734 4.6900 3.2946
5.4611 0.4200 9.9172
7.3051 2.2614 13.1979
8.0468 2.2614 6.5753
9.8907 0.4200 3.2946
0.3466 2.2226 8.2462
2.2271 0.2825 4.9460
2.8902 0.2825 11.5686
4.7707 2.2226 1.6236
5.4639 2.8875 8.2462
7.3444 4.8276 4.9460
8.0075 4.8276 11.5686
9.8880 2.8875 1.6236
0.0740 0.6071 8.3703
0.2656 2.1662 2.9692
0.4286 2.2987 0.3002
0.6077 0.0057 4.8603
1.9475 2.5731 8.1356
2.1860 4.7193 10.2433
2.2397 4.6923 12.9024
2.5398 1.8972 5.0147
2.5775 1.8972 11.6373
2.8775 4.6923 6.2799
2.9313 4.7193 3.6207
3.1698 2.5731 1.5130
4.5096 0.0057 11.4829
4.6887 2.2987 6.9227
4.8517 2.1662 9.5918
5.0433 0.6071 1.7477
5.1913 4.5030 8.3703
5.3829 2.9439 2.9692
5.5459 2.8113 0.3002
5.7250 5.1043 4.8603
7.0648 2.5369 8.1356
7.3032 0.3907 10.2433
7.3570 0.4178 12.9024
7.6571 3.2128 5.0147
7.6948 3.2128 11.6373
7.9948 0.4178 6.2799
8.0486 0.3907 3.6207
8.2871 2.5369 1.5130
9.6268 5.1043 11.4829
9.8060 2.8113 6.9227
9.9690 2.9439 9.5918
10.1606 4.5030 1.7477
```

Top 6 peaks for 10 to 90 degrees two-theta, by angle:
d [Å]  2θ (°)  Rel. int.
4.048  21.96  100
3.343  26.67  9
2.797  31.99  8
2.557  35.10  31
2.440  36.83  9
2.162  41.79  10